The following is a computed XRD peak list of KDyMo2O8. It was derived from a cell relaxed with GGA+U, using Cu Kα (weighted mean of Kα1 and Kα2).
Neutral-atom scattering factors, no anomalous dispersion.

Main lines, sorted by position (2θ from 10° to 90°):
- 2θ 22.5, I 47, hkl 1 3 0
- 2θ 28.4, I 100, hkl 1 1 2
- 2θ 29.3, I 39, hkl 0 4 2
- 2θ 29.8, I 52, hkl 1 5 0
- 2θ 34.9, I 12, hkl 2 0 0
- 2θ 44.5, I 14, hkl 0 0 4
- 2θ 46.2, I 37, hkl 2 4 2
- 2θ 51.5, I 19, hkl 2 6 2
- 2θ 53.1, I 18, hkl 1 9 2
- 2θ 54.5, I 17, hkl 1 5 4

Cell and atoms:
Cell: 5.1456 18.4476 8.1345 Å, 90.00 90.00 90.00°
Space group Pbcn (No. 60)
Asymmetric unit:
1 K 0.0000 0.2301 0.2500
2 Dy 0.0000 0.0060 0.7500
3 Mo 0.0231 0.3992 0.5163
4 O 0.1023 0.3107 0.9745
5 O 0.2307 0.4012 0.3384
6 O 0.2460 0.4076 0.6893
7 O 0.2488 0.0349 0.5043